1.
Starting from a DFT-relaxed cell (PBE+U, the Materials Project), the powder diffractogram of MgMo2Cl8O2 was calculated for Cu Kα (weighted mean of Kα1 and Kα2).

Peak list (10 most intense, 10 to 80 degrees two-theta, sorted by position)
Position (°2θ)	intensity
15.0	100
15.2	66
17.3	44
19.5	87
19.7	89
20.2	48
22.5	65
26.2	46
33.4	72
34.2	75

Structure:
```
MgMo2Cl8O2
1.0
6.3603 0.0000 0.0000
-1.1398 7.3445 0.0000
-2.6217 -1.9149 7.2909
Mg Mo Cl O
1 2 8 2
Direct
0.0000 0.0000 0.0000
0.5154 0.4575 0.9729
0.6370 0.9890 0.4045
0.2181 0.4679 0.7169
0.2294 0.3411 0.0940
0.3638 0.8888 0.0846
0.3865 0.8046 0.4908
0.7397 0.6283 0.2832
0.7593 0.6724 0.8789
0.9401 0.0902 0.2849
0.9570 0.9889 0.6768
0.5930 0.2057 0.4646
0.6147 0.2622 0.9286
```

2.
Starting from a DFT-relaxed cell (PBE+U, the Materials Project), the powder diffractogram of MgMnV4O12 was calculated for Cu Kα (weighted mean of Kα1 and Kα2).

Peak list (10 most intense, 10 to 80 degrees two-theta, sorted by position)
Position (°2θ)	intensity
21.1	35
23.8	53
24.3	100
33.0	58
34.0	26
35.3	23
35.5	41
49.8	32
53.3	28
55.2	29

Structure:
```
MgMnV4O12
1.0
5.0586 0.0000 0.0000
0.1319 5.4498 0.0000
0.1834 0.5857 7.3328
Mg Mn V O
1 1 4 12
Direct
0.0000 0.0000 0.0000
0.4711 0.7098 0.6009
0.4699 0.1400 0.2799
0.5048 0.1226 0.7859
0.9770 0.6181 0.3177
0.9904 0.5796 0.8235
0.0908 0.5872 0.0422
0.1781 0.2842 0.3335
0.2012 0.8729 0.7424
0.2721 0.7624 0.3538
0.3093 0.4182 0.7145
0.3758 0.0956 0.0312
0.5715 0.0521 0.5383
0.6801 0.3719 0.2430
0.7189 0.7945 0.8444
0.7933 0.8766 0.2261
0.8191 0.2799 0.8503
0.8328 0.5835 0.5397
```

3.
Starting from a DFT-relaxed cell (PBE+U, the Materials Project), the powder diffractogram of Li3CrNi4O8 was calculated for Cu Kα (weighted mean of Kα1 and Kα2).

Peak list (10 most intense, 10 to 80 degrees two-theta, sorted by position)
Position (°2θ)	intensity
18.5	100
21.3	15
30.4	14
35.8	27
35.9	16
37.4	29
37.5	28
43.5	91
43.7	45
63.3	63

Structure:
```
Li3CrNi4O8
1.0
5.0827 -2.9391 0.0000
5.0827 2.9391 0.0000
-3.4240 0.0000 4.8071
Li Cr Ni O
3 1 4 8
Direct
0.0000 0.0000 0.0000
0.0000 0.5000 0.0000
0.5000 0.0000 0.0000
0.5000 0.5000 0.5000
0.0000 0.0000 0.5000
0.0000 0.5000 0.5000
0.5000 0.0000 0.5000
0.5000 0.5000 0.0000
0.2498 0.2498 0.7227
0.2615 0.7376 0.2615
0.2624 0.7385 0.7385
0.2690 0.2690 0.2785
0.7310 0.7310 0.7215
0.7376 0.2615 0.2615
0.7385 0.2624 0.7385
0.7502 0.7502 0.2773
```

4.
Starting from a DFT-relaxed cell (PBE+U, the Materials Project), the powder diffractogram of RbWO7 was calculated for Cu Kα (weighted mean of Kα1 and Kα2).

Peak list (10 most intense, 10 to 80 degrees two-theta, sorted by position)
Position (°2θ)	intensity
10.9	36
14.2	64
15.7	100
16.5	39
19.9	84
21.3	45
22.0	42
22.8	52
24.5	96
31.0	36

Structure:
```
RbWO7
1.0
6.4013 0.0000 0.0000
1.2030 8.3447 0.0000
0.0593 3.3125 13.0551
Rb W O
4 4 28
Direct
0.1174 0.2372 0.0643
0.1732 0.3190 0.3831
0.8268 0.6810 0.6169
0.8826 0.7628 0.9357
0.2107 0.7528 0.3953
0.4658 0.6327 0.1654
0.5342 0.3673 0.8346
0.7893 0.2472 0.6047
0.0256 0.2545 0.6965
0.0950 0.1658 0.6173
0.2144 0.0177 0.2687
0.2151 0.5704 0.4929
0.2305 0.8356 0.1008
0.2382 0.9176 0.4767
0.2786 0.5687 0.8542
0.2962 0.5583 0.7564
0.2969 0.4841 0.1470
0.3001 0.7803 0.0190
0.3356 0.2427 0.8899
0.3993 0.6701 0.2980
0.4018 0.0541 0.2718
0.4460 0.8566 0.4468
0.5540 0.1434 0.5532
0.5982 0.9459 0.7282
0.6007 0.3299 0.7020
0.6644 0.7573 0.1101
0.6999 0.2197 0.9810
0.7031 0.5159 0.8530
0.7038 0.4417 0.2436
0.7214 0.4313 0.1458
0.7618 0.0824 0.5233
0.7695 0.1644 0.8992
0.7849 0.4296 0.5071
0.7856 0.9823 0.7313
0.9050 0.8342 0.3827
0.9744 0.7455 0.3035
```

5.
Starting from a DFT-relaxed cell (PBE+U, the Materials Project), the powder diffractogram of ZnW4O8 was calculated for Cu Kα (weighted mean of Kα1 and Kα2).

Peak list (10 most intense, 10 to 80 degrees two-theta, sorted by position)
Position (°2θ)	intensity
11.7	31
16.5	34
26.2	70
32.9	100
33.4	14
35.5	23
44.3	36
51.0	18
53.7	42
62.1	21

Structure:
```
ZnW4O8
1.0
-5.3707 5.3707 1.6504
5.3707 -5.3707 1.6504
5.3707 5.3707 -1.6504
Zn W O
1 4 8
Direct
0.0000 0.0000 0.0000
0.1588 0.6594 0.8182
0.3406 0.1588 0.4993
0.6594 0.8412 0.5007
0.8412 0.3406 0.1818
0.0362 0.3438 0.3800
0.2844 0.3334 0.6178
0.3334 0.7156 0.0491
0.3438 0.9638 0.3076
0.6562 0.0362 0.6924
0.6666 0.2844 0.9509
0.7156 0.6666 0.3822
0.9638 0.6562 0.6200
```

6.
Starting from a DFT-relaxed cell (PBE+U, the Materials Project), the powder diffractogram of Li2Mn3F8 was calculated for Cu Kα (weighted mean of Kα1 and Kα2).

Peak list (10 most intense, 10 to 80 degrees two-theta, sorted by position)
Position (°2θ)	intensity
15.3	28
16.4	35
17.2	100
22.5	37
32.1	18
35.6	26
36.6	49
47.3	15
48.1	49
58.8	13

Structure:
```
Li2Mn3F8
1.0
6.3756 0.0000 0.0000
0.0000 5.7836 0.0000
0.0000 0.0000 10.2884
Li Mn F
4 6 16
Direct
0.0000 0.2255 0.0000
0.0000 0.7565 0.5553
0.5000 0.2435 0.0553
0.5000 0.7745 0.5000
0.0000 0.0200 0.2823
0.2470 0.4797 0.7735
0.2530 0.5203 0.2735
0.5000 0.9800 0.7823
0.7470 0.5203 0.2735
0.7530 0.4797 0.7735
0.0000 0.3530 0.3736
0.0000 0.4444 0.6418
0.0000 0.5235 0.9064
0.0000 0.6968 0.1777
0.2214 0.8322 0.3979
0.2219 0.1970 0.1592
0.2781 0.8030 0.6592
0.2786 0.1678 0.8979
0.5000 0.3032 0.6777
0.5000 0.4765 0.4064
0.5000 0.5556 0.1418
0.5000 0.6470 0.8736
0.7214 0.1678 0.8979
0.7219 0.8030 0.6592
0.7781 0.1970 0.1592
0.7786 0.8322 0.3979
```

7.
Starting from a DFT-relaxed cell (PBE+U, the Materials Project), the powder diffractogram of BaYMgCoCuO5 was calculated for Cu Kα (weighted mean of Kα1 and Kα2).

Peak list (10 most intense, 10 to 80 degrees two-theta, sorted by position)
Position (°2θ)	intensity
23.9	35
28.8	52
32.2	79
35.7	86
36.6	100
37.4	46
44.8	42
47.6	35
59.1	46
67.4	37

Structure:
```
BaYMgCoCuO5
1.0
3.8213 0.0000 0.0000
0.0000 4.0455 0.0000
0.0000 0.0000 9.6327
Ba Y Mg Co Cu O
1 1 1 1 1 5
Direct
0.0000 0.0000 0.0000
0.0000 0.0000 0.3585
0.0000 0.5000 0.7138
0.5000 0.5000 0.4979
0.5000 0.5000 0.2035
0.0000 0.5000 0.1968
0.0000 0.5000 0.5107
0.5000 0.0000 0.1870
0.5000 0.0000 0.4881
0.5000 0.5000 0.8132
```

8.
Starting from a DFT-relaxed cell (PBE+U, the Materials Project), the powder diffractogram of MgZn2Mo3O8 was calculated for Cu Kα (weighted mean of Kα1 and Kα2).

Peak list (10 most intense, 10 to 80 degrees two-theta, sorted by position)
Position (°2θ)	intensity
18.5	87
30.4	33
30.5	31
31.6	29
32.4	33
32.8	59
33.3	100
40.1	31
41.4	24
41.6	23

Structure:
```
MgZn2Mo3O8
1.0
5.5234 0.0000 0.0000
1.9578 5.7043 0.0000
2.2509 2.2169 5.4481
Mg Zn Mo O
1 2 3 8
Direct
0.0000 0.0000 0.0000
0.1527 0.7912 0.3939
0.8473 0.2088 0.6061
0.0000 0.5000 0.0000
0.4776 0.2466 0.2602
0.5224 0.7534 0.7398
0.2167 0.1367 0.1352
0.2357 0.1023 0.6296
0.2368 0.6351 0.1101
0.2783 0.5909 0.6780
0.7217 0.4091 0.3220
0.7632 0.3649 0.8899
0.7643 0.8977 0.3704
0.7833 0.8633 0.8648
```

9.
Starting from a DFT-relaxed cell (PBE+U, the Materials Project), the powder diffractogram of KErW2O8 was calculated for Cu Kα (weighted mean of Kα1 and Kα2).

Peak list (10 most intense, 10 to 80 degrees two-theta, sorted by position)
Position (°2θ)	intensity
14.6	36
16.8	27
27.3	98
27.5	21
28.0	27
29.4	100
31.6	38
33.4	25
34.0	22
47.1	24

Structure:
```
KErW2O8
1.0
5.4730 -5.2765 0.0000
5.4730 5.2765 0.0000
-4.8446 0.0000 5.6613
K Er W O
2 2 4 16
Direct
0.2077 0.7923 0.7500
0.7923 0.2077 0.2500
0.2243 0.7757 0.2500
0.7757 0.2243 0.7500
0.2989 0.3074 0.2827
0.3074 0.2989 0.7827
0.6926 0.7011 0.2173
0.7011 0.6926 0.7173
0.0386 0.2248 0.6891
0.0552 0.3646 0.1194
0.2248 0.0386 0.1891
0.2437 0.3774 0.5558
0.3646 0.0552 0.6194
0.3714 0.5942 0.0359
0.3774 0.2437 0.0558
0.4058 0.6286 0.4641
0.5942 0.3714 0.5359
0.6226 0.7563 0.9442
0.6286 0.4058 0.9641
0.6354 0.9448 0.3806
0.7563 0.6226 0.4442
0.7752 0.9614 0.8109
0.9448 0.6354 0.8806
0.9614 0.7752 0.3109
```

10.
Starting from a DFT-relaxed cell (PBE+U, the Materials Project), the powder diffractogram of Sr2Mn3B2O10 was calculated for Cu Kα (weighted mean of Kα1 and Kα2).

Peak list (10 most intense, 10 to 80 degrees two-theta, sorted by position)
Position (°2θ)	intensity
17.7	32
23.1	20
25.1	22
31.5	100
32.3	16
34.6	21
35.2	17
40.9	18
45.6	17
54.1	17

Structure:
```
Sr2Mn3B2O10
1.0
5.8098 0.0000 0.0000
0.0000 3.3930 0.0000
-0.3984 0.0000 10.6557
Sr Mn B O
2 3 2 10
Direct
0.0000 0.0000 0.0000
0.1688 0.5000 0.6869
0.4976 0.5000 0.0140
0.5674 0.0000 0.4991
0.8347 0.5000 0.2954
0.3315 0.0000 0.2461
0.6787 0.0000 0.7774
0.1110 0.0000 0.2920
0.2372 0.5000 0.9144
0.3678 0.0000 0.1187
0.3846 0.5000 0.4924
0.5105 0.0000 0.6809
0.5510 0.0000 0.3161
0.6114 0.0000 0.9027
0.7851 0.5000 0.1189
0.8005 0.5000 0.4788
0.9064 0.0000 0.7541
```

11.
Starting from a DFT-relaxed cell (PBE+U, the Materials Project), the powder diffractogram of Li9Mn7O16 was calculated for Cu Kα (weighted mean of Kα1 and Kα2).

Peak list (10 most intense, 10 to 80 degrees two-theta, sorted by position)
Position (°2θ)	intensity
18.3	100
34.0	18
36.1	23
40.9	34
44.1	54
46.9	10
58.2	9
61.4	17
62.0	16
63.7	11

Structure:
```
Li9Mn7O16
1.0
5.2659 -2.8870 0.0000
5.2659 2.8870 0.0000
-4.1615 0.0000 9.7933
Li Mn O
9 7 16
Direct
0.0000 0.0000 0.0000
0.0000 0.5000 0.0000
0.0000 0.5000 0.5000
0.2434 0.2434 0.2386
0.2513 0.2513 0.7558
0.5000 0.0000 0.0000
0.5000 0.0000 0.5000
0.7487 0.7487 0.2442
0.7566 0.7566 0.7614
0.0000 0.0000 0.5000
0.2461 0.7489 0.7560
0.2511 0.7539 0.2440
0.5000 0.5000 0.0000
0.5000 0.5000 0.5000
0.7489 0.2461 0.7560
0.7539 0.2511 0.2440
0.1144 0.1144 0.8608
0.1181 0.1181 0.3628
0.1382 0.6397 0.3832
0.1505 0.6249 0.8762
0.3603 0.8618 0.6168
0.3751 0.8495 0.1238
0.3801 0.3801 0.1362
0.3863 0.3863 0.6377
0.6137 0.6137 0.3623
0.6199 0.6199 0.8638
0.6249 0.1505 0.8762
0.6397 0.1382 0.3832
0.8495 0.3751 0.1238
0.8618 0.3603 0.6168
0.8819 0.8819 0.6372
0.8856 0.8856 0.1392
```